(1)
# Cs2UAgO6
Computed XRD peak list, Cu Kα X-rays. Input: a crystal structure in Alexandria, relaxed with GGA-PBE.

Atomic structure:
Lattice parameters (Å, degrees): 6.915 6.915 5.887 115.10 115.10 50.38
Sites, in units of the cell vectors:
Cs 0.250 0.250 0.249
Cs 0.750 0.750 0.751
U 0.000 0.000 0.500
Ag 0.500 0.500 0.000
O 0.173 0.173 0.673
O 0.256 0.744 0.244
O 0.256 0.744 0.756
O 0.744 0.256 0.244
O 0.744 0.256 0.756
O 0.827 0.827 0.327

Peak list (6 most intense, 2θ = 10–90°, by angle)
- 26.8°, d = 3.325 Å, I = 100
- 30.4°, d = 2.943 Å, I = 35
- 32.4°, d = 2.764 Å, I = 20
- 43.5°, d = 2.081 Å, I = 19
- 45.0°, d = 2.015 Å, I = 20
- 51.8°, d = 1.764 Å, I = 33

(2)
# Tb3Al3Ga
Computed XRD peak list, Cu Kα X-rays. Input: a crystal structure in Alexandria, relaxed with GGA-PBE.

Atomic structure:
Lattice parameters (Å, degrees): 3.686 4.465 19.560 90.00 90.00 90.00
Sites, in units of the cell vectors:
Tb 0.000 0.000 0.000
Tb 0.000 0.000 0.387
Tb 0.000 0.500 0.195
Tb 0.500 0.000 0.695
Tb 0.500 0.500 0.500
Tb 0.500 0.500 0.887
Al 0.000 0.000 0.555
Al 0.000 0.000 0.833
Al 0.000 0.500 0.629
Al 0.500 0.000 0.129
Al 0.500 0.500 0.055
Al 0.500 0.500 0.333
Ga 0.000 0.500 0.760
Ga 0.500 0.000 0.260

Peak list (6 most intense, 2θ = 10–90°, by angle)
- 24.2°, d = 3.684 Å, I = 60
- 32.8°, d = 2.730 Å, I = 100
- 33.4°, d = 2.683 Å, I = 60
- 38.0°, d = 2.369 Å, I = 37
- 40.4°, d = 2.233 Å, I = 25
- 53.4°, d = 1.716 Å, I = 32

(3)
# Pm3PrSe4
Computed XRD peak list, Cu Kα X-rays. Input: a crystal structure in Alexandria, relaxed with GGA-PBE.

Atomic structure:
Lattice parameters (Å, degrees): 5.962 5.962 5.962 90.00 90.00 90.00
Sites, in units of the cell vectors:
Pm 0.000 0.000 0.500
Pm 0.000 0.500 0.000
Pm 0.500 0.000 0.000
Pr 0.500 0.500 0.500
Se 0.000 0.000 0.000
Se 0.000 0.500 0.500
Se 0.500 0.000 0.500
Se 0.500 0.500 0.000

Peak list (6 most intense, 2θ = 10–90°, by angle)
- 25.9°, d = 3.442 Å, I = 16
- 30.0°, d = 2.981 Å, I = 100
- 42.9°, d = 2.108 Å, I = 75
- 53.2°, d = 1.721 Å, I = 26
- 70.7°, d = 1.333 Å, I = 34
- 78.6°, d = 1.217 Å, I = 25

(4)
# Dy2ZnSnGe
Computed XRD peak list, Cu Kα X-rays. Input: a crystal structure in Alexandria, relaxed with GGA-PBE.

Atomic structure:
Lattice parameters (Å, degrees): 4.422 7.304 7.582 90.00 90.00 90.00
Sites, in units of the cell vectors:
Dy 0.250 0.006 0.219
Dy 0.250 0.494 0.219
Dy 0.750 0.506 0.781
Dy 0.750 0.994 0.781
Zn 0.250 0.750 0.593
Zn 0.750 0.250 0.407
Sn 0.250 0.250 0.602
Sn 0.750 0.750 0.398
Ge 0.250 0.750 0.920
Ge 0.750 0.250 0.080

Peak list (6 most intense, 2θ = 10–90°, by angle)
- 34.0°, d = 2.640 Å, I = 100
- 34.1°, d = 2.630 Å, I = 36
- 40.8°, d = 2.211 Å, I = 25
- 41.1°, d = 2.194 Å, I = 38
- 54.2°, d = 1.692 Å, I = 20
- 66.6°, d = 1.404 Å, I = 18

(5)
# La2Pm2YHg5
Computed XRD peak list, Cu Kα X-rays. Input: a crystal structure in Alexandria, relaxed with GGA-PBE.

Atomic structure:
Lattice parameters (Å, degrees): 11.136 11.136 4.598 90.00 90.00 90.00
Sites, in units of the cell vectors:
La 0.176 0.324 0.000
La 0.324 0.824 0.000
La 0.676 0.176 0.000
La 0.824 0.676 0.000
Pm 0.128 0.628 0.000
Pm 0.372 0.128 0.000
Pm 0.628 0.872 0.000
Pm 0.872 0.372 0.000
Y 0.000 0.000 0.000
Y 0.500 0.500 0.000
Hg 0.000 0.500 0.500
Hg 0.081 0.817 0.500
Hg 0.183 0.081 0.500
Hg 0.317 0.581 0.500
Hg 0.419 0.317 0.500
Hg 0.500 0.000 0.500
Hg 0.581 0.683 0.500
Hg 0.683 0.419 0.500
Hg 0.817 0.919 0.500
Hg 0.919 0.183 0.500

Peak list (6 most intense, 2θ = 10–90°, by angle)
- 32.0°, d = 2.796 Å, I = 100
- 33.2°, d = 2.701 Å, I = 31
- 35.0°, d = 2.564 Å, I = 40
- 39.2°, d = 2.299 Å, I = 25
- 52.3°, d = 1.751 Å, I = 18
- 55.9°, d = 1.644 Å, I = 13

(6)
# Tb6Ho3Sc
Computed XRD peak list, Cu Kα X-rays. Input: a crystal structure in Alexandria, relaxed with GGA-PBE.

Atomic structure:
Lattice parameters (Å, degrees): 10.888 10.888 6.139 90.00 90.00 120.07
Sites, in units of the cell vectors:
Tb 0.047 0.953 0.500
Tb 0.050 0.472 0.070
Tb 0.277 0.723 0.778
Tb 0.289 0.381 0.884
Tb 0.381 0.289 0.384
Tb 0.472 0.050 0.570
Tb 0.528 0.950 0.070
Tb 0.619 0.711 0.884
Tb 0.711 0.619 0.384
Tb 0.723 0.277 0.278
Tb 0.950 0.528 0.570
Tb 0.953 0.047 0.000
Ho 0.054 0.275 0.466
Ho 0.275 0.054 0.966
Ho 0.388 0.612 0.355
Ho 0.612 0.388 0.855
Ho 0.725 0.946 0.466
Ho 0.946 0.725 0.966
Sc 0.204 0.796 0.295
Sc 0.796 0.204 0.795

Peak list (6 most intense, 2θ = 10–90°, by angle)
- 28.4°, d = 3.142 Å, I = 21
- 29.0°, d = 3.081 Å, I = 45
- 30.6°, d = 2.919 Å, I = 22
- 32.0°, d = 2.797 Å, I = 100
- 34.3°, d = 2.614 Å, I = 16
- 34.9°, d = 2.572 Å, I = 24

(7)
# NaGaICl
Computed XRD peak list, Cu Kα X-rays. Input: a crystal structure in Alexandria, relaxed with GGA-PBE.

Atomic structure:
Lattice parameters (Å, degrees): 4.332 4.332 22.910 90.00 90.00 120.00
Sites, in units of the cell vectors:
Na 0.000 0.000 0.000
Na 0.333 0.667 0.667
Na 0.667 0.333 0.333
Ga 0.000 0.000 0.813
Ga 0.333 0.667 0.480
Ga 0.667 0.333 0.147
I 0.000 0.000 0.568
I 0.333 0.667 0.234
I 0.667 0.333 0.901
Cl 0.000 0.000 0.388
Cl 0.333 0.667 0.054
Cl 0.667 0.333 0.721

Peak list (6 most intense, 2θ = 10–90°, by angle)
- 11.6°, d = 7.637 Å, I = 52
- 24.0°, d = 3.702 Å, I = 72
- 28.4°, d = 3.138 Å, I = 97
- 30.8°, d = 2.903 Å, I = 100
- 36.4°, d = 2.466 Å, I = 40
- 41.7°, d = 2.166 Å, I = 64